Entry 1:
Simulated PXRD pattern
Compound: Li2Pr2Ge3
Radiation: a wavelength of 1.5418 Å
Structure: a crystal structure in Alexandria, relaxed with GGA-PBE
Lines closer than 0.1° are merged.

Atomic structure:
Cell: 9.6989 9.6989 6.9882 Å, 90.00 90.00 153.25°
Fractional coordinates of all 14 atoms:
Li (0.1905, 0.8095, 0.5621)
Li (0.1905, 0.8095, 0.9379)
Li (0.8095, 0.1905, 0.0621)
Li (0.8095, 0.1905, 0.4379)
Pr (0.3424, 0.6576, 0.7500)
Pr (0.4482, 0.5518, 0.2500)
Pr (0.5518, 0.4482, 0.7500)
Pr (0.6576, 0.3424, 0.2500)
Ge (0.0620, 0.9380, 0.0666)
Ge (0.0620, 0.9380, 0.4334)
Ge (0.2797, 0.7203, 0.2500)
Ge (0.7203, 0.2797, 0.7500)
Ge (0.9380, 0.0620, 0.5666)
Ge (0.9380, 0.0620, 0.9334)

Main lines, by intensity (2θ from 10° to 80°):
| 2theta | d/Å | intensity |
| --- | --- | --- |
| 33.57 | 2.669 | 100 |
| 32.83 | 2.728 | 75 |
| 40.20 | 2.243 | 28 |
| 25.49 | 3.494 | 22 |
| 43.32 | 2.089 | 20 |
| 24.37 | 3.653 | 18 |

Entry 2:
Simulated PXRD pattern
Compound: Cd3Sn2
Radiation: a wavelength of 1.5418 Å
Structure: a crystal structure in Alexandria, relaxed with GGA-PBE
Lines closer than 0.1° are merged.

Atomic structure:
Cell: 7.1570 7.1570 9.4394 Å, 123.19 123.19 44.34°
Fractional coordinates of all 10 atoms:
Cd (0.2380, 0.7620, 0.7500)
Cd (0.2702, 0.2757, 0.9545)
Cd (0.2757, 0.2702, 0.4545)
Cd (0.7243, 0.7298, 0.5455)
Cd (0.7298, 0.7243, 0.0455)
Cd (0.7620, 0.2380, 0.2500)
Sn (0.1910, 0.6957, 0.3692)
Sn (0.3043, 0.8090, 0.1308)
Sn (0.6957, 0.1910, 0.8692)
Sn (0.8090, 0.3043, 0.6308)

Main lines, by intensity (2θ from 10° to 80°):
| 2theta | d/Å | intensity |
| --- | --- | --- |
| 37.30 | 2.411 | 100 |
| 33.22 | 2.697 | 68 |
| 36.16 | 2.484 | 52 |
| 35.30 | 2.542 | 46 |
| 40.97 | 2.203 | 30 |
| 27.47 | 3.247 | 30 |

Entry 3:
Simulated PXRD pattern
Compound: LaMg2CuGe2
Radiation: a wavelength of 1.5418 Å
Structure: a crystal structure in Alexandria, relaxed with GGA-PBE
Lines closer than 0.1° are merged.

Atomic structure:
Cell: 6.5690 6.5690 6.5690 Å, 133.16 133.16 68.40°
Fractional coordinates of all 6 atoms:
La (0.0000, 0.0000, 0.0000)
Mg (0.2500, 0.7500, 0.5000)
Mg (0.7500, 0.2500, 0.5000)
Cu (0.5000, 0.5000, 0.0000)
Ge (0.2925, 0.2925, 0.0000)
Ge (0.7075, 0.7075, 0.0000)

Main lines, by intensity (2θ from 10° to 80°):
| 2theta | d/Å | intensity |
| --- | --- | --- |
| 24.10 | 3.693 | 100 |
| 34.35 | 2.611 | 72 |
| 30.03 | 2.976 | 38 |
| 48.35 | 1.882 | 35 |
| 41.26 | 2.188 | 27 |
| 32.97 | 2.716 | 26 |

Entry 4:
Simulated PXRD pattern
Compound: Rb2ScZnBr6
Radiation: a wavelength of 1.5418 Å
Structure: a crystal structure in Alexandria, relaxed with GGA-PBE
Lines closer than 0.1° are merged.

Atomic structure:
Cell: 7.7981 7.7981 7.7981 Å, 119.85 119.85 90.26°
Fractional coordinates of all 10 atoms:
Rb (0.2500, 0.7500, 0.5000)
Rb (0.7500, 0.2500, 0.5000)
Sc (0.0000, 0.0000, 0.0000)
Zn (0.5000, 0.5000, 0.0000)
Br (0.2425, 0.2425, 0.4850)
Br (0.2425, 0.7575, 0.0000)
Br (0.2438, 0.2438, 0.0000)
Br (0.7562, 0.7562, 0.0000)
Br (0.7575, 0.2425, 0.0000)
Br (0.7575, 0.7575, 0.5150)

Main lines, by intensity (2θ from 10° to 80°):
| 2theta | d/Å | intensity |
| --- | --- | --- |
| 28.01 | 3.186 | 100 |
| 32.40 | 2.763 | 69 |
| 46.59 | 1.950 | 48 |
| 32.55 | 2.751 | 34 |
| 55.14 | 1.666 | 28 |
| 57.89 | 1.593 | 25 |

Entry 5:
Simulated PXRD pattern
Compound: ThTi2ReC4
Radiation: a wavelength of 1.5418 Å
Structure: a crystal structure in Alexandria, relaxed with GGA-PBE
Lines closer than 0.1° are merged.

Atomic structure:
Cell: 6.0347 6.0347 10.9231 Å, 90.00 90.00 148.37°
Fractional coordinates of all 16 atoms:
Th (0.0970, 0.9030, 0.7500)
Th (0.9030, 0.0970, 0.2500)
Ti (0.3751, 0.6249, 0.5385)
Ti (0.3751, 0.6249, 0.9615)
Ti (0.6249, 0.3751, 0.0385)
Ti (0.6249, 0.3751, 0.4615)
Re (0.1659, 0.8341, 0.2500)
Re (0.8341, 0.1659, 0.7500)
C (0.0000, 0.0000, 0.0000)
C (0.0000, 0.0000, 0.5000)
C (0.2649, 0.7351, 0.1090)
C (0.2649, 0.7351, 0.3910)
C (0.4334, 0.5666, 0.7500)
C (0.5666, 0.4334, 0.2500)
C (0.7351, 0.2649, 0.6090)
C (0.7351, 0.2649, 0.8910)

Main lines, by intensity (2θ from 10° to 80°):
| 2theta | d/Å | intensity |
| --- | --- | --- |
| 32.74 | 2.736 | 100 |
| 16.23 | 5.462 | 85 |
| 39.56 | 2.278 | 39 |
| 36.79 | 2.443 | 30 |
| 31.90 | 2.806 | 28 |
| 43.81 | 2.067 | 25 |

Entry 6:
Simulated PXRD pattern
Compound: AcNd4Co2
Radiation: a wavelength of 1.5418 Å
Structure: a crystal structure in Alexandria, relaxed with GGA-PBE
Lines closer than 0.1° are merged.

Atomic structure:
Cell: 7.0518 6.8541 9.1088 Å, 90.00 112.29 90.00°
Fractional coordinates of all 14 atoms:
Ac (0.2344, 0.2500, 0.2017)
Ac (0.7656, 0.7500, 0.7983)
Nd (0.0192, 0.2500, 0.7824)
Nd (0.2797, 0.0006, 0.5646)
Nd (0.2797, 0.4994, 0.5646)
Nd (0.3356, 0.7500, 0.9993)
Nd (0.6644, 0.2500, 0.0007)
Nd (0.7203, 0.5006, 0.4354)
Nd (0.7203, 0.9994, 0.4354)
Nd (0.9808, 0.7500, 0.2176)
Co (0.0374, 0.7500, 0.6606)
Co (0.3765, 0.7500, 0.3359)
Co (0.6235, 0.2500, 0.6641)
Co (0.9626, 0.2500, 0.3394)

Main lines, by intensity (2θ from 10° to 80°):
| 2theta | d/Å | intensity |
| --- | --- | --- |
| 29.46 | 3.032 | 100 |
| 28.11 | 3.175 | 100 |
| 28.47 | 3.135 | 91 |
| 32.29 | 2.773 | 83 |
| 29.27 | 3.051 | 74 |
| 32.11 | 2.788 | 68 |

Entry 7:
Simulated PXRD pattern
Compound: Ba2LiCo
Radiation: a wavelength of 1.5418 Å
Structure: a crystal structure in Alexandria, relaxed with GGA-PBE
Lines closer than 0.1° are merged.

Atomic structure:
Cell: 7.1883 7.1883 7.1883 Å, 149.36 135.09 55.35°
Fractional coordinates of all 4 atoms:
Ba (0.0000, 0.0000, 0.0000)
Ba (0.6957, 0.1957, 0.5000)
Li (0.3542, 0.3542, 0.0000)
Co (0.2022, 0.7022, 0.5000)

Main lines, by intensity (2θ from 10° to 80°):
| 2theta | d/Å | intensity |
| --- | --- | --- |
| 31.91 | 2.804 | 100 |
| 26.54 | 3.358 | 34 |
| 17.59 | 5.042 | 32 |
| 24.45 | 3.640 | 29 |
| 32.61 | 2.746 | 27 |
| 13.91 | 6.366 | 26 |

- Number 3 is which compound?
  LaMg2CuGe2